Structure and calculated XRD peak list of LiMnNbO4 (a structure optimized by DFT (PBE+U); Cu Kα (λ = 1.5418 Å)).

Most intense lines, 10° ≤ 2θ ≤ 80°, sorted by position:
2θ (°)	I/Imax
17.50	25
28.76	73
33.87	100
50.96	29
54.30	32
59.58	42

Crystal structure
```
LiMnNbO4
1.0
6.2091 0.0000 0.0000
0.0000 6.2091 0.0000
0.0000 0.0000 8.7733
Li Mn Nb O
4 4 4 16
Direct
0.0000 0.2269 0.0000
0.0000 0.7731 0.5000
0.2269 0.0000 0.2500
0.7731 0.0000 0.7500
0.2383 0.5000 0.2500
0.5000 0.2383 0.0000
0.5000 0.7617 0.5000
0.7617 0.5000 0.7500
0.2515 0.2515 0.6250
0.2515 0.7485 0.8750
0.7485 0.2515 0.3750
0.7485 0.7485 0.1250
0.0043 0.2504 0.7484
0.0043 0.7496 0.7516
0.2504 0.0043 0.5016
0.2504 0.9957 0.9984
0.2526 0.4984 0.0001
0.2526 0.5016 0.4998
0.4984 0.2526 0.2498
0.4984 0.7474 0.2502
0.5016 0.2526 0.7502
0.5016 0.7474 0.7498
0.7474 0.4984 0.9998
0.7474 0.5016 0.5002
0.7496 0.0043 0.4984
0.7496 0.9957 0.0016
0.9957 0.2504 0.2516
0.9957 0.7496 0.2484
```